1.
Computed powder diffraction line list of MgV4O7F5 for copper Kα, from a crystal structure in the Materials Project, relaxed with PBE+U.
Neutral-atom scattering factors, no anomalous dispersion.

Structure:
a = 5.338 Å, b = 5.363 Å, c = 7.380 Å
α = 94.26°, β = 90.73°, γ = 92.77°
Space group P1 (No. 1)
Asymmetric unit:
Mg  0.000  0.000  0.000 [1 per cell]
V  0.052  0.511  0.770 [1 per cell]
V  0.065  0.505  0.296 [1 per cell]
V  0.535  0.027  0.792 [1 per cell]
V  0.616  0.990  0.318 [1 per cell]
O  0.132  0.493  0.548 [1 per cell]
O  0.161  0.232  0.202 [1 per cell]
O  0.256  0.839  0.832 [1 per cell]
O  0.480  0.044  0.535 [1 per cell]
O  0.629  0.015  0.076 [1 per cell]
O  0.845  0.221  0.808 [1 per cell]
O  0.872  0.832  0.359 [1 per cell]
F  0.339  0.331  0.855 [1 per cell]
F  0.367  0.716  0.263 [1 per cell]
F  0.731  0.344  0.346 [1 per cell]
F  0.754  0.725  0.753 [1 per cell]
F  0.972  0.619  0.047 [1 per cell]

Principal peaks in the range 5° ≤ 2θ ≤ 70°, in order of falling intensity:
- 24.18°, I 100, (1 1 0)
- 22.98°, I 48, (1 -1 0)
- 49.52°, I 25, (2 2 0)
- 33.58°, I 21, (0 2 0)
- 54.30°, I 15, (1 -1 4)
- 32.87°, I 14, (1 -1 2)
- 55.23°, I 11, (1 3 0)
- 33.32°, I 11, (1 1 -2)
- 46.96°, I 11, (2 -2 0)
- 34.34°, I 9, (-1 1 2)
- 53.48°, I 7, (1 -3 0)
- 25.55°, I 7, (1 -1 1)

2.
Computed powder diffraction line list of MgVOF2 for copper Kα, from a crystal structure in the Materials Project, relaxed with PBE+U.
Neutral-atom scattering factors, no anomalous dispersion.

Structure:
a = 9.608 Å, b = 4.152 Å, c = 3.450 Å
α = 90.00°, β = 91.07°, γ = 90.00°
Space group Cm (No. 8)
Asymmetric unit:
Mg  0.000  0.000  0.000 [2 per cell]
V  0.157  0.500  0.510 [2 per cell]
O  0.099  0.000  0.505 [2 per cell]
F  0.014  0.500  0.001 [2 per cell]
F  0.296  0.500  0.017 [2 per cell]

Principal peaks in the range 5° ≤ 2θ ≤ 70°, in order of falling intensity:
- 18.47°, I 100, (2 0 0)
- 23.34°, I 96, (1 1 0)
- 32.23°, I 52, (2 0 1)
- 43.60°, I 50, (0 2 0)
- 31.65°, I 47, (2 0 -1)
- 45.62°, I 32, (4 0 -1)
- 46.48°, I 28, (4 0 1)
- 53.10°, I 25, (0 0 2)
- 64.94°, I 22, (4 2 -1)
- 58.95°, I 20, (5 1 -1)
- 55.24°, I 19, (2 2 1)
- 65.62°, I 17, (4 2 1)

3.
Computed powder diffraction line list of MgV6O5F19 for copper Kα, from a crystal structure in the Materials Project, relaxed with PBE+U.
Neutral-atom scattering factors, no anomalous dispersion.

Structure:
a = 5.184 Å, b = 5.427 Å, c = 15.905 Å
α = 99.45°, β = 90.34°, γ = 91.40°
Space group P1 (No. 1)
Asymmetric unit:
Mg  0.000  0.000  0.000 [1 per cell]
V  0.020  0.227  0.234 [1 per cell]
V  0.086  0.526  0.868 [1 per cell]
V  0.461  0.730  0.224 [1 per cell]
V  0.479  0.409  0.550 [1 per cell]
V  0.520  0.032  0.873 [1 per cell]
V  0.997  0.883  0.555 [1 per cell]
O  0.223  0.485  0.210 [1 per cell]
O  0.226  0.797  0.846 [1 per cell]
O  0.284  0.982  0.209 [1 per cell]
O  0.308  0.645  0.531 [1 per cell]
O  0.319  0.313  0.849 [1 per cell]
F  0.090  0.273  0.344 [1 per cell]
F  0.112  0.636  0.986 [1 per cell]
F  0.123  0.939  0.660 [1 per cell]
F  0.207  0.160  0.524 [1 per cell]
F  0.362  0.102  0.984 [1 per cell]
F  0.414  0.411  0.660 [1 per cell]
F  0.460  0.765  0.337 [1 per cell]
F  0.595  0.653  0.119 [1 per cell]
F  0.614  0.300  0.450 [1 per cell]
F  0.664  0.954  0.773 [1 per cell]
F  0.711  0.084  0.579 [1 per cell]
F  0.728  0.423  0.245 [1 per cell]
F  0.729  0.792  0.922 [1 per cell]
F  0.792  0.941  0.247 [1 per cell]
F  0.794  0.593  0.585 [1 per cell]
F  0.838  0.241  0.923 [1 per cell]
F  0.863  0.449  0.783 [1 per cell]
F  0.922  0.781  0.447 [1 per cell]
F  0.927  0.137  0.113 [1 per cell]

Principal peaks in the range 5° ≤ 2θ ≤ 70°, in order of falling intensity:
- 16.95°, I 100, (0 0 3)
- 25.52°, I 69, (1 1 -2)
- 25.06°, I 39, (1 -1 2)
- 24.87°, I 33, (-1 1 1)
- 33.02°, I 15, (0 2 -1)
- 52.49°, I 13, (0 0 9)
- 49.22°, I 9, (2 2 -1)
- 47.96°, I 9, (2 -2 1)
- 54.89°, I 8, (1 3 -3)
- 39.92°, I 8, (2 1 1)
- 38.40°, I 8, (1 0 -6)
- 39.01°, I 8, (-2 1 1)

4.
Computed powder diffraction line list of MgV4O7F5 for copper Kα, from a crystal structure in the Materials Project, relaxed with PBE+U.
Neutral-atom scattering factors, no anomalous dispersion.

Structure:
a = 5.012 Å, b = 5.417 Å, c = 8.960 Å
α = 73.86°, β = 74.00°, γ = 63.48°
Space group P1 (No. 1)
Asymmetric unit:
Mg  0.000  0.000  0.000 [1 per cell]
V  0.018  0.259  0.634 [1 per cell]
V  0.296  0.483  0.890 [1 per cell]
V  0.544  0.717  0.158 [1 per cell]
V  0.798  0.971  0.391 [1 per cell]
O  0.121  0.929  0.211 [1 per cell]
O  0.127  0.291  0.837 [1 per cell]
O  0.428  0.657  0.979 [1 per cell]
O  0.622  0.816  0.334 [1 per cell]
O  0.647  0.401  0.719 [1 per cell]
O  0.924  0.606  0.064 [1 per cell]
O  0.991  0.147  0.483 [1 per cell]
F  0.048  0.605  0.525 [1 per cell]
F  0.056  0.878  0.777 [1 per cell]
F  0.473  0.071  0.584 [1 per cell]
F  0.550  0.120  0.024 [1 per cell]
F  0.564  0.355  0.284 [1 per cell]

Principal peaks in the range 5° ≤ 2θ ≤ 70°, in order of falling intensity:
- 22.99°, I 100, (0 1 -1)
- 24.32°, I 97, (1 0 -1)
- 24.59°, I 96, (1 1 2)
- 46.98°, I 29, (0 2 -2)
- 33.85°, I 29, (0 1 3)
- 33.26°, I 24, (1 2 1)
- 32.70°, I 21, (1 -1 0)
- 40.87°, I 20, (2 0 0)
- 50.41°, I 20, (2 2 4)
- 54.96°, I 20, (-1 1 4)
- 49.84°, I 20, (2 0 -2)
- 54.21°, I 17, (-2 1 1)

5.
Computed powder diffraction line list of MgV2O2F6 for copper Kα, from a crystal structure in the Materials Project, relaxed with PBE+U.
Neutral-atom scattering factors, no anomalous dispersion.

Structure:
a = 4.666 Å, b = 4.803 Å, c = 7.356 Å
α = 108.88°, β = 107.59°, γ = 90.01°
Space group P1 (No. 1)
Asymmetric unit:
Mg  0.000  0.000  0.000 [1 per cell]
V  0.326  0.741  0.608 [1 per cell]
V  0.673  0.134  0.392 [1 per cell]
O  0.441  0.880  0.409 [1 per cell]
O  0.558  0.470  0.591 [1 per cell]
F  0.031  0.057  0.595 [1 per cell]
F  0.173  0.717  0.823 [1 per cell]
F  0.373  0.235  0.177 [1 per cell]
F  0.626  0.056  0.823 [1 per cell]
F  0.827  0.896  0.178 [1 per cell]
F  0.968  0.464  0.407 [1 per cell]

Principal peaks in the range 5° ≤ 2θ ≤ 70°, in order of falling intensity:
- 13.43°, I 100, (0 0 1)
- 19.67°, I 92, (0 1 -1)
- 30.09°, I 47, (-1 1 1)
- 29.80°, I 43, (1 1 0)
- 26.64°, I 39, (1 1 -1)
- 38.56°, I 36, (1 1 -3)
- 27.65°, I 33, (1 0 1)
- 54.87°, I 28, (2 -2 0)
- 38.09°, I 26, (1 -1 2)
- 28.12°, I 25, (1 0 -2)
- 56.44°, I 18, (-2 1 3)
- 27.50°, I 13, (0 1 1)

6.
Computed powder diffraction line list of MgV4O7F5 for copper Kα, from a crystal structure in the Materials Project, relaxed with PBE+U.
Neutral-atom scattering factors, no anomalous dispersion.

Structure:
a = 5.048 Å, b = 5.364 Å, c = 9.056 Å
α = 73.92°, β = 74.33°, γ = 63.79°
Space group P1 (No. 1)
Asymmetric unit:
Mg  0.000  0.000  0.000 [1 per cell]
V  0.158  0.002  0.608 [1 per cell]
V  0.448  0.287  0.852 [1 per cell]
V  0.664  0.517  0.133 [1 per cell]
V  0.893  0.765  0.369 [1 per cell]
O  0.031  0.831  0.531 [1 per cell]
O  0.081  0.375  0.946 [1 per cell]
O  0.375  0.588  0.279 [1 per cell]
O  0.529  0.925  0.438 [1 per cell]
O  0.571  0.334  0.030 [1 per cell]
O  0.869  0.076  0.795 [1 per cell]
O  0.873  0.702  0.163 [1 per cell]
F  0.370  0.194  0.673 [1 per cell]
F  0.420  0.657  0.739 [1 per cell]
F  0.452  0.864  0.986 [1 per cell]
F  0.931  0.128  0.230 [1 per cell]
F  0.956  0.378  0.478 [1 per cell]

Principal peaks in the range 5° ≤ 2θ ≤ 70°, in order of falling intensity:
- 24.01°, I 100, (1 0 -1)
- 23.07°, I 98, (0 1 -1)
- 24.51°, I 89, (1 1 2)
- 33.56°, I 50, (0 1 3)
- 47.15°, I 28, (0 2 -2)
- 32.59°, I 25, (1 -1 0)
- 54.28°, I 21, (-1 1 4)
- 49.16°, I 21, (2 0 -2)
- 50.25°, I 19, (2 2 4)
- 34.24°, I 17, (1 0 3)
- 53.40°, I 16, (1 3 0)
- 40.67°, I 16, (1 1 4)

7.
Computed powder diffraction line list of MgV4O7F5 for copper Kα, from a crystal structure in the Materials Project, relaxed with PBE+U.
Neutral-atom scattering factors, no anomalous dispersion.

Structure:
a = 5.183 Å, b = 5.361 Å, c = 9.033 Å
α = 72.82°, β = 89.55°, γ = 62.38°
Space group P1 (No. 1)
Asymmetric unit:
Mg  0.000  0.000  0.000 [1 per cell]
V  0.106  0.873  0.358 [1 per cell]
V  0.341  0.334  0.095 [1 per cell]
V  0.509  0.884  0.843 [1 per cell]
V  0.817  0.423  0.599 [1 per cell]
O  0.121  0.143  0.162 [1 per cell]
O  0.126  0.147  0.788 [1 per cell]
O  0.459  0.667  0.015 [1 per cell]
O  0.463  0.650  0.436 [1 per cell]
O  0.560  0.145  0.977 [1 per cell]
O  0.591  0.660  0.731 [1 per cell]
O  0.968  0.639  0.518 [1 per cell]
F  0.015  0.147  0.476 [1 per cell]
F  0.089  0.657  0.211 [1 per cell]
F  0.637  0.150  0.691 [1 per cell]
F  0.639  0.123  0.277 [1 per cell]
F  0.979  0.665  0.934 [1 per cell]

Principal peaks in the range 5° ≤ 2θ ≤ 70°, in order of falling intensity:
- 23.58°, I 100, (0 1 2)
- 24.20°, I 49, (1 1 -1)
- 48.23°, I 25, (0 2 4)
- 33.46°, I 20, (0 1 -2)
- 53.33°, I 12, (2 -1 0)
- 54.80°, I 12, (1 2 -3)
- 34.60°, I 11, (1 0 -3)
- 49.56°, I 11, (2 2 -2)
- 39.94°, I 10, (1 2 3)
- 32.83°, I 10, (-1 1 1)
- 40.64°, I 10, (1 1 -3)
- 39.72°, I 8, (2 0 0)

8.
Computed powder diffraction line list of MgV3OF11 for copper Kα, from a crystal structure in the Materials Project, relaxed with PBE+U.
Neutral-atom scattering factors, no anomalous dispersion.

Structure:
a = 5.210 Å, b = 6.095 Å, c = 7.337 Å
α = 95.41°, β = 101.34°, γ = 95.53°
Space group P1 (No. 1)
Asymmetric unit:
Mg  0.000  0.000  0.000 [1 per cell]
V  0.059  0.492  0.178 [1 per cell]
V  0.499  0.333  0.816 [1 per cell]
V  0.691  0.663  0.551 [1 per cell]
O  0.770  0.501  0.025 [1 per cell]
F  0.197  0.786  0.127 [1 per cell]
F  0.216  0.305  0.983 [1 per cell]
F  0.247  0.179  0.631 [1 per cell]
F  0.427  0.503  0.343 [1 per cell]
F  0.443  0.629  0.718 [1 per cell]
F  0.605  0.914  0.477 [1 per cell]
F  0.641  0.072  0.909 [1 per cell]
F  0.754  0.384  0.637 [1 per cell]
F  0.950  0.806  0.759 [1 per cell]
F  0.959  0.631  0.406 [1 per cell]
F  0.991  0.195  0.235 [1 per cell]

Principal peaks in the range 5° ≤ 2θ ≤ 70°, in order of falling intensity:
- 23.52°, I 100, (1 0 1)
- 14.70°, I 95, (0 1 0)
- 19.24°, I 73, (1 0 -1)
- 23.91°, I 70, (-1 1 1)
- 18.12°, I 62, (0 1 -1)
- 30.83°, I 61, (0 2 -1)
- 27.39°, I 44, (1 0 -2)
- 46.59°, I 33, (2 0 -3)
- 52.82°, I 29, (2 1 2)
- 48.06°, I 27, (1 -3 1)
- 39.05°, I 27, (2 0 -2)
- 58.62°, I 25, (1 3 -3)

9.
Computed powder diffraction line list of MgV4O7F5 for copper Kα, from a crystal structure in the Materials Project, relaxed with PBE+U.
Neutral-atom scattering factors, no anomalous dispersion.

Structure:
a = 5.145 Å, b = 5.377 Å, c = 8.945 Å
α = 73.03°, β = 88.91°, γ = 61.99°
Space group P1 (No. 1)
Asymmetric unit:
Mg  0.000  0.000  0.000 [1 per cell]
V  0.120  0.846  0.361 [1 per cell]
V  0.300  0.370  0.127 [1 per cell]
V  0.530  0.872  0.840 [1 per cell]
V  0.788  0.367  0.624 [1 per cell]
O  0.092  0.653  0.212 [1 per cell]
O  0.109  0.146  0.781 [1 per cell]
O  0.138  0.130  0.161 [1 per cell]
O  0.465  0.654  0.008 [1 per cell]
O  0.486  0.629  0.429 [1 per cell]
O  0.589  0.627  0.717 [1 per cell]
O  0.633  0.137  0.683 [1 per cell]
F  0.028  0.134  0.479 [1 per cell]
F  0.565  0.138  0.978 [1 per cell]
F  0.641  0.126  0.282 [1 per cell]
F  0.978  0.658  0.927 [1 per cell]
F  0.983  0.622  0.522 [1 per cell]

Principal peaks in the range 5° ≤ 2θ ≤ 70°, in order of falling intensity:
- 23.80°, I 100, (0 1 2)
- 23.66°, I 96, (1 0 1)
- 24.27°, I 94, (1 1 -1)
- 33.39°, I 50, (1 2 1)
- 40.06°, I 36, (1 2 3)
- 54.71°, I 27, (1 2 -3)
- 53.87°, I 25, (-1 2 3)
- 48.71°, I 25, (0 2 4)
- 48.40°, I 23, (2 0 2)
- 49.72°, I 21, (2 2 -2)
- 33.11°, I 21, (-1 1 1)
- 40.84°, I 20, (1 1 -3)

10.
Computed powder diffraction line list of MgV6O5F19 for copper Kα, from a crystal structure in the Materials Project, relaxed with PBE+U.
Neutral-atom scattering factors, no anomalous dispersion.

Structure:
a = 5.343 Å, b = 5.396 Å, c = 15.570 Å
α = 80.32°, β = 89.40°, γ = 89.24°
Space group P1 (No. 1)
Asymmetric unit:
Mg  0.000  0.000  0.000 [1 per cell]
V  0.247  0.487  0.482 [1 per cell]
V  0.313  0.149  0.163 [1 per cell]
V  0.319  0.835  0.811 [1 per cell]
V  0.729  0.957  0.486 [1 per cell]
V  0.756  0.644  0.162 [1 per cell]
V  0.758  0.345  0.805 [1 per cell]
O  0.476  0.873  0.176 [1 per cell]
O  0.481  0.556  0.830 [1 per cell]
O  0.538  0.370  0.165 [1 per cell]
O  0.539  0.047  0.824 [1 per cell]
O  0.553  0.706  0.504 [1 per cell]
F  0.037  0.799  0.458 [1 per cell]
F  0.038  0.448  0.133 [1 per cell]
F  0.043  0.129  0.795 [1 per cell]
F  0.177  0.126  0.268 [1 per cell]
F  0.184  0.805  0.929 [1 per cell]
F  0.187  0.474  0.594 [1 per cell]
F  0.290  0.182  0.039 [1 per cell]
F  0.308  0.880  0.696 [1 per cell]
F  0.353  0.547  0.372 [1 per cell]
F  0.465  0.188  0.508 [1 per cell]
F  0.683  0.064  0.373 [1 per cell]
F  0.693  0.389  0.693 [1 per cell]
F  0.727  0.750  0.039 [1 per cell]
F  0.819  0.264  0.930 [1 per cell]
F  0.845  0.617  0.270 [1 per cell]
F  0.845  0.969  0.591 [1 per cell]
F  0.971  0.302  0.460 [1 per cell]
F  0.976  0.621  0.801 [1 per cell]
F  0.979  0.953  0.134 [1 per cell]

Principal peaks in the range 5° ≤ 2θ ≤ 70°, in order of falling intensity:
- 17.33°, I 100, (0 0 3)
- 24.87°, I 95, (1 1 -1)
- 25.25°, I 47, (-1 1 2)
- 25.09°, I 47, (1 -1 1)
- 47.59°, I 19, (2 2 1)
- 35.08°, I 18, (0 0 6)
- 48.26°, I 16, (-2 2 1)
- 51.00°, I 16, (-1 1 8)
- 33.21°, I 13, (0 2 1)
- 50.54°, I 12, (1 1 8)
- 38.91°, I 11, (-2 1 2)
- 53.75°, I 10, (0 0 9)

11.
Computed powder diffraction line list of MgV6O5F19 for copper Kα, from a crystal structure in the Materials Project, relaxed with PBE+U.
Neutral-atom scattering factors, no anomalous dispersion.

Structure:
a = 5.366 Å, b = 5.473 Å, c = 15.486 Å
α = 99.94°, β = 90.07°, γ = 90.57°
Space group P1 (No. 1)
Asymmetric unit:
Mg  0.000  0.000  0.000 [1 per cell]
V  0.238  0.567  0.514 [1 per cell]
V  0.268  0.166  0.836 [1 per cell]
V  0.297  0.804  0.188 [1 per cell]
V  0.787  0.065  0.514 [1 per cell]
V  0.788  0.686  0.834 [1 per cell]
V  0.806  0.304  0.197 [1 per cell]
O  0.040  0.112  0.205 [1 per cell]
O  0.059  0.813  0.535 [1 per cell]
O  0.480  0.566  0.163 [1 per cell]
O  0.970  0.313  0.536 [1 per cell]
O  0.988  0.948  0.855 [1 per cell]
F  0.002  0.624  0.207 [1 per cell]
F  0.055  0.456  0.859 [1 per cell]
F  0.171  0.442  0.404 [1 per cell]
F  0.187  0.802  0.069 [1 per cell]
F  0.216  0.139  0.723 [1 per cell]
F  0.296  0.182  0.958 [1 per cell]
F  0.339  0.528  0.620 [1 per cell]
F  0.352  0.886  0.301 [1 per cell]
F  0.488  0.881  0.817 [1 per cell]
F  0.496  0.198  0.489 [1 per cell]
F  0.533  0.048  0.165 [1 per cell]
F  0.533  0.700  0.487 [1 per cell]
F  0.550  0.388  0.843 [1 per cell]
F  0.666  0.406  0.302 [1 per cell]
F  0.692  0.020  0.621 [1 per cell]
F  0.734  0.755  0.961 [1 per cell]
F  0.798  0.561  0.721 [1 per cell]
F  0.840  0.276  0.067 [1 per cell]
F  0.855  0.943  0.404 [1 per cell]

Principal peaks in the range 5° ≤ 2θ ≤ 70°, in order of falling intensity:
- 17.44°, I 100, (0 0 3)
- 24.94°, I 97, (1 1 -2)
- 24.72°, I 97, (-1 1 1)
- 47.71°, I 21, (2 2 -1)
- 35.31°, I 18, (0 0 6)
- 50.89°, I 17, (1 -1 8)
- 47.21°, I 15, (2 -2 1)
- 32.72°, I 10, (0 2 -1)
- 50.63°, I 10, (-1 1 7)
- 54.12°, I 10, (0 0 9)
- 39.22°, I 9, (1 0 6)
- 54.00°, I 8, (1 3 0)